No. 1
Starting from DFT lattice parameters and positions (PBE), the X-ray diffraction stick pattern of Ca5CuN4 was calculated for Cu Kα (weighted mean of Kα1 and Kα2).
Neutral-atom scattering factors, no anomalous dispersion.

Atomic structure:
```
data_Ca5CuN4
_space_group_name_H-M_alt 'P 1'
_space_group_IT_number 1
_space_group_name_Hall 'P 1'
_cell_length_a 7.334
_cell_length_b 8.341
_cell_length_c 6.218
_cell_angle_alpha 90.00
_cell_angle_beta 90.00
_cell_angle_gamma 90.00
loop_
_atom_site_label
_atom_site_type_symbol
_atom_site_fract_x
_atom_site_fract_y
_atom_site_fract_z
Ca1 Ca 0.019 0.039 0.240
Ca2 Ca 0.019 0.461 0.240
Ca3 Ca 0.250 0.250 0.745
Ca4 Ca 0.481 0.039 0.240
Ca5 Ca 0.481 0.461 0.240
Ca6 Ca 0.519 0.539 0.760
Ca7 Ca 0.519 0.961 0.760
Ca8 Ca 0.750 0.750 0.255
Ca9 Ca 0.981 0.539 0.760
Ca10 Ca 0.981 0.961 0.760
Cu1 Cu 0.250 0.750 0.483
Cu2 Cu 0.750 0.250 0.517
N1 N 0.002 0.750 0.482
N2 N 0.250 0.029 0.971
N3 N 0.250 0.471 0.971
N4 N 0.498 0.750 0.482
N5 N 0.502 0.250 0.518
N6 N 0.750 0.529 0.029
N7 N 0.750 0.971 0.029
N8 N 0.998 0.250 0.518
```

Most intense lines, 2θ from 5° to 70°, in order of rising 2θ:
- 2θ 21.55, I 75
- 2θ 25.72, I 83
- 2θ 32.51, I 100
- 2θ 33.09, I 56
- 2θ 35.36, I 51
- 2θ 36.03, I 56
- 2θ 37.94, I 55
- 2θ 43.92, I 52

***

No. 2
Starting from DFT lattice parameters and positions (PBE), the X-ray diffraction stick pattern of DyP3H5O6 was calculated for Cu Kα (weighted mean of Kα1 and Kα2).
Neutral-atom scattering factors, no anomalous dispersion.

Atomic structure:
```
data_DyP3H5O6
_space_group_name_H-M_alt 'P 1'
_space_group_IT_number 1
_space_group_name_Hall 'P 1'
_cell_length_a 8.163
_cell_length_b 8.163
_cell_length_c 12.590
_cell_angle_alpha 119.99
_cell_angle_beta 119.99
_cell_angle_gamma 41.53
loop_
_atom_site_label
_atom_site_type_symbol
_atom_site_fract_x
_atom_site_fract_y
_atom_site_fract_z
Dy1 Dy 0.000 0.000 0.000
Dy2 Dy 0.000 0.000 0.500
P1 P 0.146 0.166 0.853
P2 P 0.329 0.328 0.416
P3 P 0.413 0.413 0.791
P4 P 0.587 0.587 0.209
P5 P 0.672 0.671 0.584
P6 P 0.834 0.854 0.147
H1 H 0.235 0.233 0.413
H2 H 0.297 0.295 0.288
H3 H 0.324 0.323 0.668
H4 H 0.407 0.042 0.881
H5 H 0.498 0.497 0.774
H6 H 0.503 0.502 0.226
H7 H 0.677 0.676 0.332
H8 H 0.705 0.703 0.712
H9 H 0.767 0.765 0.587
H10 H 0.958 0.593 0.119
O1 O 0.075 0.074 0.712
O2 O 0.123 0.116 0.944
O3 O 0.162 0.610 0.477
O4 O 0.191 0.638 0.855
O5 O 0.362 0.809 0.145
O6 O 0.390 0.838 0.523
O7 O 0.611 0.161 0.477
O8 O 0.638 0.189 0.855
O9 O 0.811 0.362 0.145
O10 O 0.839 0.389 0.523
O11 O 0.884 0.877 0.056
O12 O 0.926 0.925 0.288
```

Most intense lines, 2θ from 5° to 70°, in order of rising 2θ:
- 2θ 13.73, I 100
- 2θ 14.88, I 86
- 2θ 16.66, I 54
- 2θ 16.79, I 97
- 2θ 23.41, I 67
- 2θ 23.97, I 41
- 2θ 26.25, I 81
- 2θ 36.59, I 45

***

No. 3
Starting from DFT lattice parameters and positions (PBE), the X-ray diffraction stick pattern of Rb2Ni3Se4 was calculated for Cu Kα (weighted mean of Kα1 and Kα2).
Neutral-atom scattering factors, no anomalous dispersion.

Atomic structure:
```
data_Rb2Ni3Se4
_space_group_name_H-M_alt 'P 1'
_space_group_IT_number 1
_space_group_name_Hall 'P 1'
_cell_length_a 15.053
_cell_length_b 14.401
_cell_length_c 6.154
_cell_angle_alpha 83.95
_cell_angle_beta 72.06
_cell_angle_gamma 23.99
loop_
_atom_site_label
_atom_site_type_symbol
_atom_site_fract_x
_atom_site_fract_y
_atom_site_fract_z
Rb1 Rb 0.049 0.049 0.201
Rb2 Rb 0.201 0.201 0.049
Rb3 Rb 0.799 0.799 0.951
Rb4 Rb 0.951 0.951 0.799
Ni1 Ni 0.125 0.125 0.625
Ni2 Ni 0.375 0.375 0.375
Ni3 Ni 0.375 0.375 0.875
Ni4 Ni 0.625 0.625 0.125
Ni5 Ni 0.625 0.625 0.625
Ni6 Ni 0.875 0.875 0.375
Se1 Se 0.157 0.484 0.260
Se2 Se 0.260 0.599 0.157
Se3 Se 0.401 0.740 0.516
Se4 Se 0.484 0.157 0.599
Se5 Se 0.516 0.843 0.401
Se6 Se 0.599 0.260 0.484
Se7 Se 0.740 0.401 0.843
Se8 Se 0.843 0.516 0.740
```

Most intense lines, 2θ from 5° to 70°, in order of rising 2θ:
- 2θ 12.58, I 100
- 2θ 25.29, I 49
- 2θ 29.19, I 97
- 2θ 35.05, I 57
- 2θ 36.78, I 75
- 2θ 41.15, I 52
- 2θ 52.04, I 59
- 2θ 60.13, I 54

***

No. 4
Starting from DFT lattice parameters and positions (PBE), the X-ray diffraction stick pattern of AgIr was calculated for Cu Kα (weighted mean of Kα1 and Kα2).
Neutral-atom scattering factors, no anomalous dispersion.

Atomic structure:
```
data_AgIr
_space_group_name_H-M_alt 'P 1'
_space_group_IT_number 1
_space_group_name_Hall 'P 1'
_cell_length_a 2.757
_cell_length_b 2.757
_cell_length_c 4.893
_cell_angle_alpha 90.00
_cell_angle_beta 90.00
_cell_angle_gamma 120.00
loop_
_atom_site_label
_atom_site_type_symbol
_atom_site_fract_x
_atom_site_fract_y
_atom_site_fract_z
Ag1 Ag 0.000 0.000 0.000
Ir1 Ir 0.667 0.333 0.500
```

Most intense lines, 2θ from 5° to 70°, in order of rising 2θ:
- 2θ 18.13, I 11
- 2θ 36.74, I 32
- 2θ 37.67, I 27
- 2θ 42.11, I 100
- 2θ 53.63, I 19
- 2θ 56.42, I 1
- 2θ 68.00, I 16
- 2θ 69.84, I 22